Structure and computed X-ray powder pattern of Sc5ZnCo2 (a cell relaxed with GGA-PBE; Cu Ka).
Neutral-atom scattering factors, no anomalous dispersion.

Peak list (10 most intense, 2θ = 15–90°, in order of falling intensity)
36.11°, I = 100, hkl 2 1 3
40.37°, I = 64, hkl 3 1 0
39.21°, I = 26, hkl 2 0 4
47.32°, I = 20, hkl 2 1 5
23.09°, I = 18, hkl 1 1 2
76.31°, I = 17, hkl 4 4 0
34.67°, I = 16, hkl 1 1 4
75.99°, I = 15, hkl 3 1 8
35.95°, I = 13, hkl 2 2 0
58.42°, I = 8, hkl 4 2 0

Cell and atoms:
```
data_Sc5ZnCo2
_chemical_formula_sum 'Sc20 Zn4 Co8'
_symmetry_space_group_name_H-M 'I 4/m c m'
_symmetry_Int_Tables_number 140
_symmetry_space_group_name_Hall '-I 4 2c'
_cell_length_a 7.0648
_cell_length_b 7.0648
_cell_length_c 12.0986
_cell_angle_alpha 90.00
_cell_angle_beta 90.00
_cell_angle_gamma 90.00
loop_
_atom_site_label
_atom_site_fract_x
_atom_site_fract_y
_atom_site_fract_z
Sc1 0.0000 0.0000 0.0000
Sc2 0.1605 0.3395 0.1381
Zn1 0.0000 0.0000 0.2500
Co1 0.1358 0.3642 0.5000
```